NpNiRh: theoretical XRD peak list (a wavelength of 1.5418 Å), based on the GGA-PBE geometry in Alexandria.

Crystal structure
abc: 4.908 5.393 7.355
angles: 90.00 90.00 90.00
Space group Imma (No. 74)
Symmetry-distinct sites (fractional):
Np1 0.000 0.250 0.130 x4
Ni1 0.250 0.250 0.750 x4
Rh1 0.000 0.000 0.500 x4

Largest 10 diffraction maxima, by intensity, 2θ = 5–70°:
d/Å, two_theta, Rel. int., index
2.583, 34.72, 100.0, 1 1 2
2.250, 40.07, 88.9, 1 2 1
2.137, 42.29, 59.7, 2 1 1
2.193, 41.16, 47.3, 1 0 3
4.349, 20.42, 35.2, 0 1 1
2.454, 36.62, 30.1, 2 0 0
2.232, 40.41, 28.4, 0 1 3
1.534, 60.33, 21.2, 1 3 2
2.175, 41.52, 19.4, 0 2 2
2.697, 33.22, 19.2, 0 2 0

=====

Cs2Pm2S5: theoretical XRD peak list (a wavelength of 1.5418 Å), based on the GGA-PBE geometry in Alexandria.

Crystal structure
abc: 17.497 7.816 7.820
angles: 90.00 90.00 90.00
Space group Cmce (No. 64)
Symmetry-distinct sites (fractional):
Cs1 0.198 0.000 0.000 x8
Pm1 0.000 0.170 0.330 x8
S1 0.000 0.000 0.000 x4
S2 0.105 0.121 0.621 x16

Largest 10 diffraction maxima, by intensity, 2θ = 5–70°:
d/Å, two_theta, Rel. int., index
3.569, 24.95, 100.0, 2 2 0
2.448, 36.71, 62.8, 1 3 1
4.012, 22.16, 59.2, 3 1 1
2.019, 44.89, 52.5, 5 3 1
2.957, 30.23, 49.7, 5 1 1
8.748, 10.11, 46.3, 2 0 0
2.731, 32.80, 40.5, 4 2 1
2.999, 29.79, 38.0, 3 1 2
1.908, 47.66, 36.4, 8 2 0
2.764, 32.39, 33.9, 0 2 2

=====

Li3Cd2Pb2: theoretical XRD peak list (a wavelength of 1.5418 Å), based on the GGA-PBE geometry in Alexandria.

Crystal structure
abc: 4.922 5.841 5.958
angles: 93.58 112.45 91.20
Space group P-1 (No. 2)
Symmetry-distinct sites (fractional):
Li1 0.000 0.000 0.000 x1
Li2 0.277 0.168 0.553 x2
Cd1 0.134 0.606 0.272 x2
Pb1 0.421 0.734 0.839 x2

Largest 10 diffraction maxima, by intensity, 2θ = 5–70°:
d/Å, two_theta, Rel. int., index
2.579, 34.78, 100.0, 1 1 1
2.541, 35.33, 95.7, -1 1 2
2.459, 36.54, 87.8, 2 0 -1
2.560, 35.06, 85.6, 0 1 -2
2.507, 35.82, 80.5, 1 -2 0
3.669, 24.26, 80.1, 1 -1 0
5.822, 15.22, 77.8, 0 1 0
3.553, 25.06, 77.4, 1 1 -1
2.450, 36.68, 75.2, 1 2 -1
2.742, 32.66, 72.3, 0 0 2